Starting from DFT lattice parameters and positions (PBE), the X-ray diffraction stick pattern of KZnCrH6 was computed for Cu Kα (weighted mean of Kα1 and Kα2).
Neutral-atom scattering factors, no anomalous dispersion.

Largest 12 diffraction maxima, by angle, 2θ = 10–90°:
hkl, 2θ (°), I/Imax
0 0 1, 16.84, 36.5
1 0 1, 27.52, 100.0
0 0 2, 34.05, 21.0
1 1 0, 37.89, 49.3
1 1 1, 41.72, 20.3
2 0 1, 47.46, 19.4
1 1 2, 51.85, 39.0
1 0 3, 57.05, 10.7
2 1 1, 62.27, 16.5
3 0 0, 68.43, 7.5
3 0 2, 78.68, 10.1
1 1 4, 84.07, 8.3

Cell and atoms:
```
data_KZnCrH6
_symmetry_space_group_name_H-M 'P 1'
_symmetry_Int_Tables_number 1
_cell_length_a 4.750
_cell_length_b 4.750
_cell_length_c 5.265
_cell_angle_alpha 90.00
_cell_angle_beta 90.00
_cell_angle_gamma 120.00
loop_
_symmetry_equiv_pos_as_xyz
'x,y,z'
loop_
_atom_site_label
_atom_site_type_symbol
_atom_site_fract_x
_atom_site_fract_y
_atom_site_fract_z
K1 K 0.000 0.000 0.000
Zn1 Zn 0.667 0.333 0.500
Cr1 Cr 0.333 0.667 0.500
H1 H 0.019 0.509 0.288
H2 H 0.019 0.509 0.712
H3 H 0.491 0.509 0.288
H4 H 0.491 0.509 0.712
H5 H 0.491 0.981 0.288
H6 H 0.491 0.981 0.712
```

=====

Starting from DFT lattice parameters and positions (PBE), the X-ray diffraction stick pattern of LaMgCrH6 was computed for Cu Kα (weighted mean of Kα1 and Kα2).
Neutral-atom scattering factors, no anomalous dispersion.

Largest 12 diffraction maxima, by angle, 2θ = 10–90°:
hkl, 2θ (°), I/Imax
1 0 0, 22.00, 29.2
1 0 1, 29.24, 100.0
1 1 0, 38.60, 44.6
2 0 0, 44.86, 15.7
2 0 1, 49.15, 23.3
1 1 2, 55.72, 23.3
2 1 0, 60.64, 7.7
1 0 3, 64.17, 30.5
3 0 0, 69.84, 5.6
2 1 2, 74.22, 4.6
2 0 3, 77.44, 5.8
2 2 0, 82.75, 11.9

Cell and atoms:
```
data_LaMgCrH6
_symmetry_space_group_name_H-M 'P 1'
_symmetry_Int_Tables_number 1
_cell_length_a 4.665
_cell_length_b 4.665
_cell_length_c 4.667
_cell_angle_alpha 90.00
_cell_angle_beta 90.00
_cell_angle_gamma 120.00
loop_
_symmetry_equiv_pos_as_xyz
'x,y,z'
loop_
_atom_site_label
_atom_site_type_symbol
_atom_site_fract_x
_atom_site_fract_y
_atom_site_fract_z
La1 La 0.000 0.000 0.000
Mg1 Mg 0.333 0.667 0.500
Cr1 Cr 0.667 0.333 0.500
H1 H 0.517 0.034 0.236
H2 H 0.517 0.034 0.764
H3 H 0.517 0.483 0.236
H4 H 0.517 0.483 0.764
H5 H 0.966 0.483 0.236
H6 H 0.966 0.483 0.764
```